Starting from a crystal structure in Alexandria, relaxed with PBE, the powder diffraction line list of PrPuRhI was calculated for a wavelength of 1.5418 Å.
Kinematic intensities with the Lorentz-polarization factor, no thermal factor.

The 10 most intense peaks (2θ from 10° to 90°), low angle first:
two_theta, I (rel.)
10.8, 28
26.2, 29
29.1, 33
31.1, 100
36.0, 18
44.3, 46
44.8, 21
55.1, 20
56.1, 17
73.3, 17

Cell and atoms:
a = 8.557 Å, b = 8.557 Å, c = 8.557 Å
α = 27.63°, β = 27.63°, γ = 27.63°
Sites, in units of the cell vectors:
Pr1 0.000 0.000 0.000
Pu1 0.793 0.793 0.793
Rh1 0.402 0.402 0.402
I1 0.231 0.231 0.231

Starting from a crystal structure in Alexandria, relaxed with PBE, the powder diffraction line list of YPd7Au4 was calculated for a wavelength of 1.5418 Å.
Kinematic intensities with the Lorentz-polarization factor, no thermal factor.

The 10 most intense peaks (2θ from 10° to 90°), low angle first:
two_theta, I (rel.)
38.0, 50
38.2, 100
38.4, 49
43.9, 33
44.5, 32
44.7, 32
65.0, 21
77.7, 12
77.9, 19
78.3, 12

Cell and atoms:
a = 4.963 Å, b = 5.812 Å, c = 7.644 Å
α = 101.76°, β = 108.61°, γ = 90.11°
Sites, in units of the cell vectors:
Y1 0.000 0.000 0.000
Pd1 0.000 0.500 0.000
Pd2 0.001 0.668 0.669
Pd3 0.496 0.918 0.668
Pd4 0.500 0.255 0.000
Pd5 0.500 0.745 0.000
Pd6 0.504 0.082 0.332
Pd7 0.999 0.332 0.331
Au1 0.003 0.172 0.664
Au2 0.495 0.578 0.330
Au3 0.505 0.422 0.670
Au4 0.997 0.828 0.336